Entry 1:
The following is a theoretical powder XRD pattern of Li3Fe2C2O8. It was derived from DFT lattice parameters and positions (PBE+U), using CuKα.
Intensities are scaled so that the largest is 100.

```
Li3Fe2C2O8
1.0
6.9324 0.0000 0.0000
0.0000 5.0785 0.0000
-1.9242 0.0000 10.8734
Li Fe C O
6 4 4 16
Direct
0.0000 0.0809 0.0000
0.0000 0.9191 0.5000
0.0911 0.1035 0.2859
0.0911 0.8965 0.7859
0.3417 0.4128 0.8524
0.3417 0.5872 0.3524
0.6981 0.0858 0.7218
0.6981 0.9142 0.2218
0.7209 0.3840 0.4159
0.7209 0.6160 0.9159
0.0083 0.4190 0.6429
0.0083 0.5810 0.1429
0.4117 0.0339 0.4916
0.4117 0.9661 0.9916
0.1268 0.4662 0.2268
0.1268 0.5338 0.7268
0.2570 0.0743 0.9283
0.2570 0.9257 0.4283
0.4647 0.2682 0.4577
0.4647 0.7318 0.9577
0.5100 0.0828 0.0852
0.5100 0.9172 0.5852
0.5983 0.3658 0.8120
0.5983 0.6342 0.3120
0.8589 0.1130 0.3599
0.8589 0.8870 0.8599
0.9150 0.4425 0.0496
0.9150 0.5575 0.5496
0.9724 0.1641 0.6460
0.9724 0.8359 0.1460
```

Largest 10 diffraction maxima, in order of rising 2θ, 2θ = 10–90°:
- 6.826 Å, intensity 98
- 4.601 Å, intensity 21
- 3.932 Å, intensity 17
- 3.437 Å, intensity 100
- 3.148 Å, intensity 39
- 2.950 Å, intensity 16
- 2.676 Å, intensity 18
- 2.578 Å, intensity 35
- 1.966 Å, intensity 14
- 1.793 Å, intensity 14

---

Entry 2:
The following is a theoretical powder XRD pattern of LiFe2C3O9. It was derived from DFT lattice parameters and positions (PBE+U), using CuKα.
Intensities are scaled so that the largest is 100.

```
LiFe2C3O9
1.0
7.5808 0.0000 0.0000
-2.3541 7.2108 0.0000
-2.1282 -3.6113 6.4144
Li Fe C O
2 4 6 18
Direct
0.0000 0.0000 0.0000
0.4749 0.2220 0.9116
0.1024 0.8168 0.5490
0.2064 0.5411 0.1432
0.7009 0.9251 0.2726
0.8166 0.4319 0.6538
0.0337 0.1737 0.7077
0.2698 0.8036 0.9331
0.4571 0.9776 0.5122
0.5863 0.5392 0.3384
0.8442 0.6386 0.0595
0.9319 0.3223 0.2909
0.0121 0.6735 0.2032
0.0368 0.3520 0.8241
0.0490 0.3114 0.1950
0.0762 0.7448 0.8905
0.0768 0.0600 0.7857
0.3553 0.8938 0.8477
0.3715 0.0744 0.6021
0.3783 0.7656 0.0737
0.3834 0.7718 0.4392
0.4227 0.4384 0.1550
0.5971 0.4604 0.4578
0.6184 0.0794 0.4934
0.7206 0.4533 0.9042
0.7344 0.7181 0.3848
0.7525 0.1589 0.2051
0.8088 0.8015 0.0765
0.9866 0.4870 0.4636
0.9906 0.1154 0.5146
```

Largest 10 diffraction maxima, in order of rising 2θ, 2θ = 10–90°:
- 6.471 Å, intensity 45
- 6.414 Å, intensity 33
- 6.287 Å, intensity 87
- 6.106 Å, intensity 100
- 4.573 Å, intensity 74
- 4.449 Å, intensity 56
- 4.300 Å, intensity 53
- 2.832 Å, intensity 31
- 2.774 Å, intensity 32
- 2.362 Å, intensity 39

---

Entry 3:
The following is a theoretical powder XRD pattern of LiFe2C2O7. It was derived from DFT lattice parameters and positions (PBE+U), using CuKα.
Intensities are scaled so that the largest is 100.

```
LiFe2C2O7
1.0
2.4425 -4.2042 0.0000
2.4425 4.2042 0.0000
-0.5849 0.0000 16.0841
Li Fe C O
2 4 4 14
Direct
0.0026 0.9974 0.5000
0.9974 0.0026 0.0000
0.3195 0.6507 0.3803
0.3471 0.6810 0.1526
0.6507 0.3195 0.8803
0.6810 0.3471 0.6526
0.3248 0.6615 0.9357
0.3431 0.6783 0.6054
0.6615 0.3248 0.4357
0.6783 0.3431 0.1054
0.0688 0.6815 0.9355
0.0827 0.4084 0.6053
0.3079 0.3868 0.9365
0.3331 0.9398 0.6038
0.3542 0.6904 0.2614
0.3868 0.3079 0.4365
0.4084 0.0827 0.1053
0.5992 0.9183 0.9360
0.6140 0.6873 0.6059
0.6815 0.0688 0.4355
0.6873 0.6140 0.1059
0.6904 0.3542 0.7614
0.9183 0.5992 0.4360
0.9398 0.3331 0.1038
```

Largest 10 diffraction maxima, in order of rising 2θ, 2θ = 10–90°:
- 8.042 Å, intensity 27
- 4.216 Å, intensity 97
- 4.115 Å, intensity 34
- 4.060 Å, intensity 79
- 4.021 Å, intensity 100
- 2.598 Å, intensity 22
- 2.555 Å, intensity 22
- 2.431 Å, intensity 31
- 2.097 Å, intensity 27
- 2.084 Å, intensity 27

---

Entry 4:
The following is a theoretical powder XRD pattern of Li2Fe2C3O9. It was derived from DFT lattice parameters and positions (PBE+U), using CuKα.
Intensities are scaled so that the largest is 100.

```
Li2Fe2C3O9
1.0
3.6218 -4.8767 0.0000
3.6218 4.8767 0.0000
-0.4753 0.0000 4.9947
Li Fe C O
2 2 3 9
Direct
0.2003 0.7997 0.0000
0.7997 0.2003 0.0000
0.0052 0.0052 0.4996
0.3349 0.3349 0.0705
0.0551 0.4580 0.5696
0.4580 0.0551 0.5696
0.6814 0.6814 0.0782
0.0412 0.6619 0.6018
0.0600 0.3505 0.3364
0.0621 0.3361 0.7773
0.3361 0.0621 0.7773
0.3505 0.0600 0.3364
0.4730 0.6975 0.0680
0.6619 0.0412 0.6018
0.6975 0.4730 0.0680
0.8623 0.8623 0.1013
```

Largest 10 diffraction maxima, in order of rising 2θ, 2θ = 10–90°:
- 5.798 Å, intensity 90
- 4.877 Å, intensity 50
- 3.935 Å, intensity 100
- 3.649 Å, intensity 85
- 3.489 Å, intensity 46
- 2.595 Å, intensity 89
- 2.497 Å, intensity 29
- 2.428 Å, intensity 35
- 1.948 Å, intensity 22
- 1.933 Å, intensity 38

---

Entry 5:
The following is a theoretical powder XRD pattern of LiFeCO4. It was derived from DFT lattice parameters and positions (PBE+U), using CuKα.
Intensities are scaled so that the largest is 100.

```
LiFeCO4
1.0
4.1124 -7.2178 0.0000
4.1124 7.2178 0.0000
0.0000 0.0000 6.1898
Li Fe C O
4 4 4 16
Direct
0.0140 0.1868 0.0000
0.1868 0.0140 0.5000
0.8132 0.9860 0.5000
0.9860 0.8132 0.0000
0.2785 0.7055 0.2595
0.2945 0.7215 0.7595
0.7055 0.2785 0.7595
0.7215 0.2945 0.2595
0.1587 0.3607 0.5186
0.3607 0.1587 0.0186
0.6393 0.8413 0.0186
0.8413 0.6393 0.5186
0.0940 0.1863 0.5280
0.1736 0.7340 0.0070
0.1774 0.4422 0.3308
0.1863 0.0940 0.0280
0.2031 0.4583 0.6981
0.2660 0.8264 0.5070
0.4422 0.1774 0.8308
0.4583 0.2031 0.1981
0.5417 0.7969 0.1981
0.5578 0.8226 0.8308
0.7340 0.1736 0.5070
0.7969 0.5417 0.6981
0.8137 0.9060 0.0280
0.8226 0.5578 0.3308
0.8264 0.2660 0.0070
0.9060 0.8137 0.5280
```

Largest 10 diffraction maxima, in order of rising 2θ, 2θ = 10–90°:
- 7.218 Å, intensity 100
- 4.153 Å, intensity 49
- 3.573 Å, intensity 74
- 3.449 Å, intensity 26
- 2.842 Å, intensity 48
- 2.713 Å, intensity 38
- 2.482 Å, intensity 27
- 2.472 Å, intensity 15
- 2.045 Å, intensity 20
- 1.680 Å, intensity 16

---

Entry 6:
The following is a theoretical powder XRD pattern of LiFeCO4. It was derived from DFT lattice parameters and positions (PBE+U), using CuKα.
Intensities are scaled so that the largest is 100.

```
LiFeCO4
1.0
6.9680 0.0000 0.0000
0.0000 5.4782 0.0000
-2.0867 0.0000 10.4519
Li Fe C O
4 4 4 16
Direct
0.1321 0.0986 0.2967
0.1321 0.4014 0.7967
0.8679 0.5986 0.2033
0.8679 0.9014 0.7033
0.4886 0.6735 0.6543
0.4886 0.8265 0.1543
0.5114 0.1735 0.8457
0.5114 0.3265 0.3457
0.2098 0.6548 0.4117
0.2098 0.8452 0.9117
0.7902 0.1548 0.0883
0.7902 0.3452 0.5883
0.0754 0.7463 0.3277
0.0754 0.7537 0.8277
0.2713 0.0723 0.9015
0.2713 0.4277 0.4015
0.2914 0.7163 0.0105
0.2914 0.7837 0.5105
0.3947 0.0614 0.2508
0.3947 0.4386 0.7508
0.6053 0.5614 0.2492
0.6053 0.9386 0.7492
0.7086 0.2163 0.4895
0.7086 0.2837 0.9895
0.7287 0.5723 0.5985
0.7287 0.9277 0.0985
0.9246 0.2463 0.1723
0.9246 0.2537 0.6723
```

Largest 10 diffraction maxima, in order of rising 2θ, 2θ = 10–90°:
- 6.833 Å, intensity 100
- 4.852 Å, intensity 25
- 4.274 Å, intensity 12
- 3.805 Å, intensity 23
- 3.781 Å, intensity 20
- 3.527 Å, intensity 86
- 3.157 Å, intensity 30
- 3.126 Å, intensity 20
- 2.736 Å, intensity 24
- 2.552 Å, intensity 19